# 1
Ho2ErGa6: computed powder diffractogram (a wavelength of 1.5418 Å), based on DFT lattice parameters and positions (GGA-PBE).

Principal peaks in the range 10° ≤ 2θ ≤ 80°, sorted by position:
d = 3.728 Å, 23.87°, I = 17; d = 2.657 Å, 33.74°, I = 100; d = 2.152 Å, 41.97°, I = 47; d = 1.893 Å, 48.06°, I = 11; d = 1.672 Å, 54.90°, I = 25; d = 1.422 Å, 65.68°, I = 24; d = 1.321 Å, 71.43°, I = 22; d = 1.243 Å, 76.68°, I = 8

```
data_Ho2ErGa6
_chemical_formula_sum 'Ho2 Er1 Ga6'
_cell_length_a 7.4563
_cell_length_b 7.4563
_cell_length_c 3.7865
_cell_angle_alpha 90.00
_cell_angle_beta 90.00
_cell_angle_gamma 120.00
_space_group_name_H-M_alt 'P 6/m m m'
_space_group_IT_number 191
_space_group_name_Hall '-P 6 2'
loop_
_atom_site_label
_atom_site_fract_x
_atom_site_fract_y
_atom_site_fract_z
Ho1 0.3333 0.6667 0.0000
Er1 0.0000 0.0000 0.0000
Ga1 0.0000 0.3331 0.5000
```


# 2
HoEr3Ga2: computed powder diffractogram (a wavelength of 1.5418 Å), based on DFT lattice parameters and positions (GGA-PBE).

Principal peaks in the range 10° ≤ 2θ ≤ 80°, sorted by position:
d = 3.160 Å, 28.25°, I = 32; d = 2.872 Å, 31.14°, I = 23; d = 2.802 Å, 31.94°, I = 25; d = 2.792 Å, 32.05°, I = 64; d = 2.663 Å, 33.66°, I = 100; d = 2.523 Å, 35.58°, I = 26; d = 2.511 Å, 35.76°, I = 52; d = 1.477 Å, 62.92°, I = 16

```
data_HoEr3Ga2
_chemical_formula_sum 'Ho4 Er12 Ga8'
_cell_length_a 15.824
_cell_length_b 5.021
_cell_length_c 8.798
_cell_angle_alpha 90.00
_cell_angle_beta 117.95
_cell_angle_gamma 90.00
_space_group_name_H-M_alt 'C 1 2/m 1'
_space_group_IT_number 12
_space_group_name_Hall '-C 2y'
loop_
_atom_site_label
_atom_site_fract_x
_atom_site_fract_y
_atom_site_fract_z
Ho1 0.130 0.000 0.189
Er1 0.061 0.000 0.717
Er2 0.121 0.500 0.513
Er3 0.187 0.500 0.992
Ga1 0.016 0.500 0.152
Ga2 0.227 0.000 0.615
```


# 3
Er12In6Ga: computed powder diffractogram (a wavelength of 1.5418 Å), based on DFT lattice parameters and positions (GGA-PBE).

Principal peaks in the range 10° ≤ 2θ ≤ 80°, sorted by position:
d = 4.119 Å, 21.57°, I = 39; d = 3.561 Å, 25.01°, I = 57; d = 2.965 Å, 30.15°, I = 35; d = 2.843 Å, 31.46°, I = 49; d = 2.525 Å, 35.56°, I = 100; d = 2.511 Å, 35.76°, I = 90; d = 1.780 Å, 51.32°, I = 30; d = 1.373 Å, 68.32°, I = 17

```
data_Er12In6Ga
_chemical_formula_sum 'Er36 In18 Ga3'
_cell_length_a 13.3594
_cell_length_b 13.3594
_cell_length_c 12.2677
_cell_angle_alpha 90.00
_cell_angle_beta 90.00
_cell_angle_gamma 120.00
_space_group_name_H-M_alt 'R -3'
_space_group_IT_number 148
_space_group_name_Hall '-R 3'
loop_
_atom_site_label
_atom_site_fract_x
_atom_site_fract_y
_atom_site_fract_z
Er1 0.0381 0.8245 0.3934
Er2 0.0503 0.8430 0.8890
In1 0.0510 0.7842 0.6485
Ga1 0.0000 0.0000 0.0000
```